Entry 1:
This entry pairs a crystal structure of Nd3Fe29 with its calculated powder diffractogram. Radiation: copper Kα. Structure: the PBE geometry in Alexandria.
Peak positions follow from Bragg's law for the DFT cell and can differ from measured ones.

Crystal structure
Cell lengths 9.711, 8.565, 10.479 Å; angles 90.00, 96.04, 90.00 degrees
Space group C2/m (No. 12)
Unique sites:
Nd1 0.000 0.000 0.000 x2
Nd2 0.187 0.000 0.600 x4
Fe1 0.000 0.360 0.000 x4
Fe2 0.000 0.500 0.500 x2
Fe3 0.020 0.500 0.253 x4
Fe4 0.063 0.252 0.404 x8
Fe5 0.092 0.225 0.804 x8
Fe6 0.096 0.000 0.292 x4
Fe7 0.155 0.253 0.198 x8
Fe8 0.185 0.354 0.624 x8
Fe9 0.208 0.500 0.860 x4
Fe10 0.219 0.500 0.106 x4
Fe11 0.250 0.250 0.000 x4

Largest 10 diffraction maxima, by angle, 10 to 80 degrees two-theta:
2theta, d (Å), I (rel.), hkl
30.08, 2.971, 415, 1 1 3
36.62, 2.454, 413, 1 3 -2
37.46, 2.401, 253, 2 0 -4
39.57, 2.277, 260, 2 2 3
42.20, 2.141, 454, 0 4 0
42.63, 2.121, 1000, 1 3 3
42.93, 2.107, 691, 4 0 2
43.20, 2.094, 657, 2 2 -4
43.38, 2.086, 574, 0 0 5
77.83, 1.227, 208, 2 6 -4



Entry 2:
This entry pairs a crystal structure of NdFe6 with its calculated powder diffractogram. Radiation: copper Kα. Structure: the PBE geometry in Alexandria.
Peak positions follow from Bragg's law for the DFT cell and can differ from measured ones.

Crystal structure
Cell lengths 7.978, 4.944, 10.210 Å; angles 90.00, 90.00, 90.00 degrees
Space group Pnma (No. 62)
Unique sites:
Nd1 0.239 0.250 0.062 x4
Fe1 0.052 0.750 0.099 x4
Fe2 0.063 0.006 0.309 x8
Fe3 0.096 0.250 0.515 x4
Fe4 0.149 0.750 0.858 x4
Fe5 0.190 0.250 0.751 x4

Largest 10 diffraction maxima, by angle, 10 to 80 degrees two-theta:
2theta, d (Å), I (rel.), hkl
31.92, 2.803, 311, 0 1 3
36.34, 2.472, 374, 0 2 0
36.98, 2.431, 571, 1 0 4
39.28, 2.294, 953, 2 1 3
39.47, 2.283, 1000, 3 1 1
40.55, 2.225, 302, 0 2 2
43.05, 2.101, 316, 2 2 0
45.87, 1.978, 249, 1 0 5
46.03, 1.972, 315, 2 1 4
46.82, 1.940, 372, 1 2 3



Entry 3:
This entry pairs a crystal structure of Nd2Fe17 with its calculated powder diffractogram. Radiation: copper Kα. Structure: the PBE geometry in Alexandria.
Peak positions follow from Bragg's law for the DFT cell and can differ from measured ones.

Crystal structure
Cell lengths 8.5624, 8.5624, 12.4977 Å; angles 90.00, 90.00, 120.00 degrees
Space group R-3m (No. 166, hexagonal axes)
Unique sites:
Nd1 0.0000 0.0000 0.1593 x6
Fe1 0.0000 0.0000 0.4037 x6
Fe2 0.0000 0.2894 0.5000 x18
Fe3 0.0000 0.5000 0.0000 x9
Fe4 0.0024 0.5012 0.3431 x18

Largest 10 diffraction maxima, by angle, 10 to 80 degrees two-theta:
2theta, d (Å), I (rel.), hkl
29.93, 2.986, 383, 1 1 3
36.35, 2.472, 402, 3 0 0
37.65, 2.389, 268, 0 2 4
42.22, 2.141, 639, 2 2 0
42.53, 2.126, 1000, 3 0 3
43.42, 2.084, 501, 0 0 6
47.77, 1.904, 222, 2 2 3
61.47, 1.508, 167, 1 4 3
62.16, 1.493, 275, 2 2 6
79.10, 1.211, 175, 3 0 9